Record 1
Structure and theoretical X-ray diffraction stick pattern of ZnAu4 (a structure optimized by DFT (GGA-PBE); Cu Kα, 1.54184 Å).
Peak positions follow from Bragg's law for the DFT cell and can differ from measured ones.

Structure:
Cell: 2.9775 2.9775 34.3835 Å, 90.00 90.00 120.00°
Space group R-3m (No. 166, hexagonal axes)
One atom of each set of equivalent atoms:
Zn (0.0000, 0.0000, 0.0000)
Au (0.0000, 0.0000, 0.2015)
Au (0.0000, 0.0000, 0.3945)

Largest 6 diffraction maxima, low angle first, 2θ = 10–90°:
(0 1 5), 2θ 37.24, 2.414 Å, I 100
(0 0 15), 2θ 39.31, 2.292 Å, I 26
(1 0 10), 2θ 43.89, 2.063 Å, I 61
(1 1 0), 2θ 62.37, 1.489 Å, I 23
(0 1 20), 2θ 65.22, 1.430 Å, I 16
(1 1 15), 2θ 76.26, 1.249 Å, I 23



Record 2
Structure and theoretical X-ray diffraction stick pattern of ZrAu4 (a structure optimized by DFT (GGA-PBE); Cu Kα, 1.54184 Å).
Peak positions follow from Bragg's law for the DFT cell and can differ from measured ones.

Structure:
Cell: 5.298 5.052 15.006 Å, 90.00 90.00 90.00°
Space group Pnma (No. 62)
One atom of each set of equivalent atoms:
Zr (0.233, 0.250, 0.117)
Au (0.039, 0.250, 0.541)
Au (0.042, 0.250, 0.929)
Au (0.135, 0.250, 0.727)
Au (0.234, 0.250, 0.307)

Largest 6 diffraction maxima, low angle first, 2θ = 10–90°:
(0 1 5), 2θ 34.77, 2.580 Å, I 79
(0 2 0), 2θ 35.54, 2.526 Å, I 87
(2 0 2), 2θ 35.95, 2.498 Å, I 43
(2 1 0), 2θ 38.37, 2.346 Å, I 37
(1 1 5), 2θ 38.83, 2.319 Å, I 100
(2 2 2), 2θ 51.44, 1.776 Å, I 31



Record 3
Structure and theoretical X-ray diffraction stick pattern of ZrAu (a structure optimized by DFT (GGA-PBE); Cu Kα, 1.54184 Å).
Peak positions follow from Bragg's law for the DFT cell and can differ from measured ones.

Structure:
Cell: 3.093 3.093 4.157 Å, 90.00 90.00 90.00°
Space group P4/mmm (No. 123)
One atom of each set of equivalent atoms:
Zr (0.000, 0.000, 0.000)
Au (0.500, 0.500, 0.500)

Largest 6 diffraction maxima, low angle first, 2θ = 10–90°:
(1 0 1), 2θ 36.20, 2.481 Å, I 100
(1 1 0), 2θ 41.28, 2.187 Å, I 35
(0 0 2), 2θ 43.54, 2.078 Å, I 15
(1 1 2), 2θ 61.55, 1.507 Å, I 21
(2 1 1), 2θ 71.95, 1.312 Å, I 27
(1 0 3), 2θ 75.13, 1.265 Å, I 12